Diffraction record for CaTe2O7. The PXRD pattern is calculated, not measured: it uses a DFT-relaxed cell (PBE, Alexandria) and Cu Kα (λ = 1.5418 Å).
Lines closer than 0.1° are merged.

Cell and atoms:
a b c (Å): 7.2993 7.5114 7.5843
angles (deg): 90.00 107.21 90.00
Sites, in units of the cell vectors:
Ca (0.1407, 0.0000, 0.0291)
Ca (0.8593, 0.5000, 0.9709)
Te (0.2323, 0.0863, 0.5752)
Te (0.3529, 0.5016, 0.0774)
Te (0.6471, 0.0016, 0.9226)
Te (0.7677, 0.5863, 0.4248)
O (0.0998, 0.9721, 0.7120)
O (0.1689, 0.0027, 0.3399)
O (0.1811, 0.3174, 0.0338)
O (0.1837, 0.6860, 0.0547)
O (0.2796, 0.3206, 0.6210)
O (0.4743, 0.0345, 0.0502)
O (0.4945, 0.9735, 0.6685)
O (0.5055, 0.4735, 0.3315)
O (0.5257, 0.5345, 0.9498)
O (0.7204, 0.8206, 0.3790)
O (0.8163, 0.1860, 0.9453)
O (0.8189, 0.8174, 0.9662)
O (0.8311, 0.5027, 0.6601)
O (0.9002, 0.4721, 0.2880)

Principal peaks in the range 2θ from 5° to 70°, most intense first:
(hkl), 2theta, d/Å, Rel. int.
1 1 -1, 19.0, 4.681, 100.0
0 2 0, 23.7, 3.756, 50.0
0 1 1, 17.0, 5.215, 38.6
2 1 0, 28.2, 3.162, 34.8
1 1 1, 23.4, 3.805, 29.5
1 0 -2, 24.1, 3.692, 26.4
1 1 0, 17.4, 5.110, 23.8
0 0 2, 24.6, 3.622, 23.2
1 0 2, 31.0, 2.884, 18.8
2 0 0, 25.6, 3.486, 16.4